BaV8O21: calculated powder XRD pattern (Cu Kα X-rays), based on a GGA+U-relaxed structure.
Lines closer than 0.1° are merged.

Crystal structure
```
data_BaV8O21
_chemical_formula_sum 'Ba2 V16 O42'
_cell_length_a 7.2454
_cell_length_b 7.8681
_cell_length_c 15.1301
_cell_angle_alpha 88.90
_cell_angle_beta 89.90
_cell_angle_gamma 76.81
_space_group_name_H-M_alt 'P -1'
_space_group_IT_number 2
loop_
_space_group_symop_operation_xyz
'x,y,z'
'-x,-y,-z'
loop_
_atom_site_label
_atom_site_fract_x
_atom_site_fract_y
_atom_site_fract_z
Ba1 0.2364 0.0556 0.1900
V1 0.0456 0.8183 0.4254
V2 0.0756 0.6234 0.2300
V3 0.0826 0.6631 0.0208
V4 0.1560 0.3782 0.4289
V5 0.3434 0.6239 0.5716
V6 0.4117 0.3407 0.9765
V7 0.4257 0.3765 0.7686
V8 0.4545 0.1816 0.5748
O1 0.0000 0.0000 0.5000
O2 0.0264 0.9114 0.3265
O3 0.0286 0.8159 0.9444
O4 0.0645 0.7700 0.1236
O5 0.0968 0.6095 0.5332
O6 0.1063 0.5757 0.3601
O7 0.1376 0.4262 0.1901
O8 0.1423 0.4237 0.9671
O9 0.1713 0.3310 0.7607
O10 0.1913 0.2274 0.3546
O11 0.1913 0.2335 0.5474
O12 0.3039 0.7739 0.6442
O13 0.3085 0.7661 0.4535
O14 0.3219 0.6888 0.2427
O15 0.3524 0.5873 0.0214
O16 0.3853 0.5687 0.8105
O17 0.3944 0.4231 0.6396
O18 0.4025 0.3878 0.4654
O19 0.4308 0.1915 0.0548
O20 0.4497 0.2280 0.8758
O21 0.4845 0.0875 0.6733
O22 0.5000 0.0000 0.5000
```

Principal peaks in the range 15° ≤ 2θ ≤ 90°, by angle:
d/Å  2θ/deg  I_rel  (hkl)
5.523  16.0  26  1 1 1
3.444  25.9  84  0 2 2
3.433  26.0  100  2 1 -1
3.197  27.9  28  2 0 2
3.187  28.0  25  2 1 -2
3.024  29.5  99  0 0 5
2.895  30.9  73  2 -1 1
2.135  42.3  42  0 3 4
2.087  43.3  32  0 2 -6
1.811  50.4  49  4 1 0